Entry 1:
Simulated powder diffractogram
Compound: Ac2PmNd2Y
Radiation: copper Kα
Structure: a GGA-PBE-relaxed structure
Kinematic intensities with the Lorentz-polarization factor, no thermal factor.

Peak list (10 most intense, 5 to 70 degrees two-theta, low angle first)
d 10.233, I = 11, (0 0 1); d 3.000, I = 100, (2 0 2); d 2.975, I = 37, (0 2 0); d 2.959, I = 72, (0 1 3); d 2.111, I = 25, (2 2 2); d 2.104, I = 12, (2 0 4); d 1.723, I = 13, (2 3 1); d 1.718, I = 12, (2 2 4); d 1.715, I = 28, (0 3 3); d 1.569, I = 33, (4 2 0)

abc: 7.394 5.950 10.233
angles: 90.00 90.00 90.00
Space group Pmma (No. 51)
Inequivalent atoms, fractional coordinates:
Ac 0.000 0.000 0.000
Ac 0.250 0.500 0.173
Pm 0.250 0.000 0.664
Nd 0.250 0.000 0.347
Nd 0.250 0.500 0.823
Y 0.000 0.500 0.500

=====

Entry 2:
Simulated powder diffractogram
Compound: AcPr7Nd5
Radiation: copper Kα
Structure: a GGA-PBE-relaxed structure
Kinematic intensities with the Lorentz-polarization factor, no thermal factor.

Peak list (10 most intense, 5 to 70 degrees two-theta, low angle first)
d 3.379, I = 40, (1 3 0); d 3.026, I = 62, (0 0 4); d 2.989, I = 83, (2 0 2); d 2.960, I = 52, (2 2 0); d 2.950, I = 100, (1 3 2); d 2.910, I = 29, (0 4 0); d 2.659, I = 72, (2 2 2); d 2.622, I = 26, (0 4 2); d 1.689, I = 30, (2 6 0); d 1.667, I = 25, (2 2 6)

abc: 6.877 11.638 12.106
angles: 90.00 90.00 90.00
Space group Imm2 (No. 44)
Inequivalent atoms, fractional coordinates:
Ac 0.000 0.000 0.000
Pr 0.000 0.000 0.325
Pr 0.000 0.000 0.612
Pr 0.000 0.320 0.536
Pr 0.000 0.335 0.035
Pr 0.000 0.500 0.760
Nd 0.000 0.500 0.271
Nd 0.235 0.233 0.796

=====

Entry 3:
Simulated powder diffractogram
Compound: AcPr2Nd
Radiation: copper Kα
Structure: a GGA-PBE-relaxed structure
Kinematic intensities with the Lorentz-polarization factor, no thermal factor.

Peak list (10 most intense, 5 to 70 degrees two-theta, low angle first)
d 3.089, I = 100, (0 2 1); d 3.071, I = 99, (2 2 0); d 2.676, I = 68, (2 0 1); d 2.649, I = 33, (0 4 0); d 1.883, I = 61, (4 0 0); d 1.616, I = 30, (2 2 2); d 1.609, I = 30, (4 2 1); d 1.600, I = 29, (2 6 0); d 1.544, I = 13, (0 4 2); d 1.535, I = 13, (4 4 0)

abc: 7.537 10.595 3.802
angles: 90.00 90.00 90.00
Space group Cmm2 (No. 35)
Inequivalent atoms, fractional coordinates:
Ac 0.000 0.000 0.000
Pr 0.250 0.250 0.500
Nd 0.000 0.500 0.999

=====

Entry 4:
Simulated powder diffractogram
Compound: Ac5Pr3Nd
Radiation: copper Kα
Structure: a GGA-PBE-relaxed structure
Kinematic intensities with the Lorentz-polarization factor, no thermal factor.

Peak list (10 most intense, 5 to 70 degrees two-theta, low angle first)
d 6.342, I = 23, (0 2 0); d 4.977, I = 28, (2 2 -1); d 3.384, I = 60, (4 2 -2); d 3.307, I = 39, (2 2 1); d 3.171, I = 100, (0 4 0); d 2.988, I = 81, (1 1 -3); d 2.959, I = 59, (5 1 -3); d 2.793, I = 66, (4 2 0); d 2.486, I = 48, (1 3 -3); d 2.470, I = 32, (5 3 -3)

abc: 16.211 12.684 10.534
angles: 90.00 129.85 90.00
Space group C2/m (No. 12)
Inequivalent atoms, fractional coordinates:
Ac 0.000 0.247 0.000
Ac 0.138 0.245 0.743
Ac 0.233 0.000 0.230
Ac 0.247 0.500 0.405
Pr 0.000 0.000 0.500
Pr 0.000 0.500 0.000
Pr 0.003 0.000 0.819
Pr 0.008 0.500 0.343
Nd 0.227 0.500 0.052

=====

Entry 5:
Simulated powder diffractogram
Compound: Ac4Pr5Nd2
Radiation: copper Kα
Structure: a GGA-PBE-relaxed structure
Kinematic intensities with the Lorentz-polarization factor, no thermal factor.

Peak list (10 most intense, 5 to 70 degrees two-theta, low angle first)
d 3.371, I = 66, (2 0 -3); d 3.337, I = 100, (3 1 -1); d 3.248, I = 70, (6 0 1); d 3.236, I = 27, (4 0 2); d 2.962, I = 90, (5 1 -1); d 2.914, I = 97, (8 0 -2); d 2.604, I = 87, (3 1 2); d 2.066, I = 40, (5 1 -4); d 1.882, I = 27, (0 2 0); d 1.837, I = 25, (11 1 0)

abc: 24.359 3.764 10.118
angles: 90.00 108.14 90.00
Space group C2/m (No. 12)
Inequivalent atoms, fractional coordinates:
Ac 0.042 0.000 0.197
Ac 0.109 0.500 0.914
Pr 0.000 0.500 0.500
Pr 0.132 0.000 0.573
Pr 0.210 0.000 0.346
Nd 0.234 0.000 0.860

=====

Entry 6:
Simulated powder diffractogram
Compound: Ac2Pr12Nd5
Radiation: copper Kα
Structure: a GGA-PBE-relaxed structure
Kinematic intensities with the Lorentz-polarization factor, no thermal factor.

Peak list (10 most intense, 5 to 70 degrees two-theta, low angle first)
d 3.454, I = 13, (1 1 2); d 3.013, I = 21, (3 1 -3); d 2.989, I = 52, (0 4 0); d 2.955, I = 33, (2 0 2); d 2.934, I = 100, (4 2 -1); d 2.855, I = 55, (2 2 -3); d 2.674, I = 18, (1 3 2); d 2.101, I = 22, (2 4 2); d 1.718, I = 12, (6 2 1); d 1.715, I = 17, (4 6 -1)

abc: 13.559 11.955 9.753
angles: 90.00 116.85 90.00
Space group C2/m (No. 12)
Inequivalent atoms, fractional coordinates:
Ac 0.000 0.235 0.000
Pr 0.075 0.000 0.774
Pr 0.109 0.220 0.425
Pr 0.127 0.500 0.945
Pr 0.190 0.255 0.803
Nd 0.000 0.500 0.500
Nd 0.190 0.500 0.329
Nd 0.192 0.000 0.240